Entry 1:
Computed X-ray powder pattern
Compound: LaErO3
Radiation: Cu Ka
Structure: the GGA-PBE geometry in the Materials Project

Principal peaks in the range 10° ≤ 2θ ≤ 80°, most intense first:
2θ 29.8, rel. 100
2θ 29.4, rel. 23
2θ 53.7, rel. 23
2θ 30.4, rel. 22
2θ 42.8, rel. 20
2θ 52.4, rel. 17
2θ 61.9, rel. 12
2θ 42.5, rel. 12
2θ 53.1, rel. 11
2θ 52.5, rel. 11

Structural model:
```
data_LaErO3
_chemical_formula_sum 'La4 Er4 O12'
_cell_length_a 6.077
_cell_length_b 8.514
_cell_length_c 5.877
_cell_angle_alpha 90.00
_cell_angle_beta 90.00
_cell_angle_gamma 90.00
_symmetry_space_group_name_H-M 'P n m a'
_symmetry_Int_Tables_number 62
loop_
_symmetry_equiv_pos_as_xyz
'x,y,z'
'-x,-y,-z'
'-x+1/2,-y,z+1/2'
'x+1/2,y,-z+1/2'
'x+1/2,-y+1/2,-z+1/2'
'-x+1/2,y+1/2,z+1/2'
'-x,y+1/2,-z'
'x,-y+1/2,z'
loop_
_atom_site_label
_atom_site_fract_x
_atom_site_fract_y
_atom_site_fract_z
La1 0.048 0.250 0.015
Er1 0.000 0.000 0.500
O1 0.057 0.750 0.373
O2 0.194 0.568 0.807
```



Entry 2:
Computed X-ray powder pattern
Compound: Fe3Re
Radiation: Cu Ka
Structure: the GGA-PBE geometry in the Materials Project

Principal peaks in the range 10° ≤ 2θ ≤ 80°, most intense first:
2θ 46.9, rel. 100
2θ 29.9, rel. 43
2θ 44.6, rel. 26
2θ 40.9, rel. 25
2θ 35.2, rel. 18
2θ 74.5, rel. 16
2θ 20.1, rel. 15
2θ 62.1, rel. 14
2θ 60.0, rel. 11
2θ 58.1, rel. 9

Structural model:
```
data_Fe3Re
_chemical_formula_sum 'Fe6 Re2'
_cell_length_a 5.0945
_cell_length_b 5.0945
_cell_length_c 4.0597
_cell_angle_alpha 90.00
_cell_angle_beta 90.00
_cell_angle_gamma 120.00
_symmetry_space_group_name_H-M 'P 63/m m c'
_symmetry_Int_Tables_number 194
_symmetry_space_group_name_Hall '-P 6c 2c'
loop_
_atom_site_label
_atom_site_fract_x
_atom_site_fract_y
_atom_site_fract_z
Fe1 0.1626 0.3252 0.2500
Re1 0.3333 0.6667 0.7500
```



Copy entry 1 word for word.
Computed X-ray powder pattern
Compound: LaErO3
Radiation: Cu Ka
Structure: the GGA-PBE geometry in the Materials Project

Principal peaks in the range 10° ≤ 2θ ≤ 80°, most intense first:
2θ 29.8, rel. 100
2θ 29.4, rel. 23
2θ 53.7, rel. 23
2θ 30.4, rel. 22
2θ 42.8, rel. 20
2θ 52.4, rel. 17
2θ 61.9, rel. 12
2θ 42.5, rel. 12
2θ 53.1, rel. 11
2θ 52.5, rel. 11

Structural model:
```
data_LaErO3
_chemical_formula_sum 'La4 Er4 O12'
_cell_length_a 6.077
_cell_length_b 8.514
_cell_length_c 5.877
_cell_angle_alpha 90.00
_cell_angle_beta 90.00
_cell_angle_gamma 90.00
_symmetry_space_group_name_H-M 'P n m a'
_symmetry_Int_Tables_number 62
loop_
_symmetry_equiv_pos_as_xyz
'x,y,z'
'-x,-y,-z'
'-x+1/2,-y,z+1/2'
'x+1/2,y,-z+1/2'
'x+1/2,-y+1/2,-z+1/2'
'-x+1/2,y+1/2,z+1/2'
'-x,y+1/2,-z'
'x,-y+1/2,z'
loop_
_atom_site_label
_atom_site_fract_x
_atom_site_fract_y
_atom_site_fract_z
La1 0.048 0.250 0.015
Er1 0.000 0.000 0.500
O1 0.057 0.750 0.373
O2 0.194 0.568 0.807
```